(1)
Diffraction record for CePuPa3. The powder X-ray diffraction pattern is simulated, not measured: it uses a DFT-relaxed cell (GGA-PBE, Alexandria) and λ = 1.5418 Å (Cu Kα).
Intensities are scaled so that the largest is 100.

Atomic structure:
Lattice parameters (Å, degrees): 8.167 4.150 14.467 90.00 90.00 90.00
Element x y z (fractional)
Ce (0.004, 0.250, 0.129)
Ce (0.496, 0.750, 0.629)
Ce (0.504, 0.250, 0.371)
Ce (0.996, 0.750, 0.871)
Pu (0.112, 0.750, 0.449)
Pu (0.388, 0.250, 0.949)
Pu (0.612, 0.750, 0.051)
Pu (0.888, 0.250, 0.551)
Pa (0.071, 0.750, 0.666)
Pa (0.214, 0.750, 0.278)
Pa (0.228, 0.750, 0.022)
Pa (0.272, 0.250, 0.522)
Pa (0.286, 0.250, 0.778)
Pa (0.429, 0.250, 0.166)
Pa (0.571, 0.750, 0.834)
Pa (0.714, 0.750, 0.222)
Pa (0.728, 0.750, 0.478)
Pa (0.772, 0.250, 0.978)
Pa (0.786, 0.250, 0.722)
Pa (0.929, 0.250, 0.334)

Top 6 peaks for 2θ = 10–90°, by angle:
| 2theta | d (Å) | I (rel.) |
| --- | --- | --- |
| 30.5 | 2.935 | 54 |
| 30.7 | 2.911 | 77 |
| 31.3 | 2.854 | 91 |
| 33.1 | 2.707 | 62 |
| 37.9 | 2.373 | 100 |
| 40.1 | 2.249 | 56 |


(2)
Diffraction record for FeIr2Rh8. The powder X-ray diffraction pattern is simulated, not measured: it uses a DFT-relaxed cell (GGA-PBE, Alexandria) and λ = 1.5418 Å (Cu Kα).
Intensities are scaled so that the largest is 100.

Atomic structure:
Lattice parameters (Å, degrees): 6.371 6.371 4.191 90.00 90.00 103.16
Element x y z (fractional)
Fe (0.000, 0.000, 0.000)
Ir (0.375, 0.625, 0.500)
Ir (0.625, 0.375, 0.500)
Rh (0.033, 0.298, 0.500)
Rh (0.243, 0.757, 0.000)
Rh (0.298, 0.033, 0.500)
Rh (0.328, 0.328, 0.000)
Rh (0.672, 0.672, 0.000)
Rh (0.702, 0.967, 0.500)
Rh (0.757, 0.243, 0.000)
Rh (0.967, 0.702, 0.500)

Top 6 peaks for 2θ = 10–90°, by angle:
| 2theta | d (Å) | I (rel.) |
| --- | --- | --- |
| 41.4 | 2.180 | 90 |
| 42.1 | 2.144 | 100 |
| 43.2 | 2.096 | 47 |
| 43.8 | 2.068 | 40 |
| 63.2 | 1.472 | 26 |
| 86.6 | 1.124 | 25 |


(3)
Diffraction record for Dy4PuZn5. The powder X-ray diffraction pattern is simulated, not measured: it uses a DFT-relaxed cell (GGA-PBE, Alexandria) and λ = 1.5418 Å (Cu Kα).
Intensities are scaled so that the largest is 100.

Atomic structure:
Lattice parameters (Å, degrees): 3.563 3.563 17.842 90.00 90.00 90.00
Element x y z (fractional)
Dy (0.000, 0.000, 0.100)
Dy (0.000, 0.000, 0.299)
Dy (0.000, 0.000, 0.701)
Dy (0.000, 0.000, 0.900)
Pu (0.000, 0.000, 0.500)
Zn (0.500, 0.500, 0.000)
Zn (0.500, 0.500, 0.199)
Zn (0.500, 0.500, 0.396)
Zn (0.500, 0.500, 0.604)
Zn (0.500, 0.500, 0.801)

Top 6 peaks for 2θ = 10–90°, by angle:
| 2theta | d (Å) | I (rel.) |
| --- | --- | --- |
| 25.0 | 3.565 | 22 |
| 35.6 | 2.521 | 100 |
| 51.3 | 1.783 | 18 |
| 64.0 | 1.455 | 36 |
| 75.4 | 1.260 | 11 |
| 86.3 | 1.127 | 11 |


(4)
Diffraction record for Er8Tl2Ag. The powder X-ray diffraction pattern is simulated, not measured: it uses a DFT-relaxed cell (GGA-PBE, Alexandria) and λ = 1.5418 Å (Cu Kα).
Intensities are scaled so that the largest is 100.

Atomic structure:
Lattice parameters (Å, degrees): 9.560 9.560 6.753 100.00 100.00 31.09
Element x y z (fractional)
Er (0.017, 0.017, 0.263)
Er (0.203, 0.203, 0.808)
Er (0.346, 0.346, 0.520)
Er (0.409, 0.409, 0.035)
Er (0.591, 0.591, 0.965)
Er (0.654, 0.654, 0.480)
Er (0.797, 0.797, 0.192)
Er (0.983, 0.983, 0.737)
Tl (0.189, 0.189, 0.254)
Tl (0.811, 0.811, 0.746)
Ag (0.500, 0.500, 0.500)

Top 6 peaks for 2θ = 10–90°, by angle:
| 2theta | d (Å) | I (rel.) |
| --- | --- | --- |
| 30.2 | 2.958 | 100 |
| 31.7 | 2.819 | 73 |
| 33.3 | 2.692 | 74 |
| 35.0 | 2.562 | 77 |
| 37.6 | 2.391 | 25 |
| 39.2 | 2.300 | 21 |


(5)
Diffraction record for Li2Ti3O7. The powder X-ray diffraction pattern is simulated, not measured: it uses a DFT-relaxed cell (GGA-PBE, Alexandria) and λ = 1.5418 Å (Cu Kα).
Intensities are scaled so that the largest is 100.

Atomic structure:
Lattice parameters (Å, degrees): 7.740 3.770 9.545 90.00 96.10 90.00
Element x y z (fractional)
Li (0.006, 0.250, 0.298)
Li (0.195, 0.750, 0.054)
Li (0.805, 0.250, 0.946)
Li (0.994, 0.750, 0.702)
Ti (0.235, 0.250, 0.839)
Ti (0.340, 0.250, 0.531)
Ti (0.444, 0.250, 0.225)
Ti (0.556, 0.750, 0.775)
Ti (0.660, 0.750, 0.469)
Ti (0.765, 0.750, 0.161)
O (0.018, 0.250, 0.866)
O (0.155, 0.250, 0.631)
O (0.256, 0.250, 0.343)
O (0.299, 0.750, 0.844)
O (0.318, 0.250, 0.057)
O (0.410, 0.750, 0.555)
O (0.495, 0.250, 0.749)
O (0.505, 0.750, 0.251)
O (0.590, 0.250, 0.445)
O (0.682, 0.750, 0.943)
O (0.701, 0.250, 0.156)
O (0.744, 0.750, 0.657)
O (0.845, 0.750, 0.369)
O (0.982, 0.750, 0.134)

Top 6 peaks for 2θ = 10–90°, by angle:
| 2theta | d (Å) | I (rel.) |
| --- | --- | --- |
| 11.5 | 7.696 | 100 |
| 15.6 | 5.689 | 41 |
| 26.3 | 3.386 | 70 |
| 28.2 | 3.161 | 32 |
| 41.0 | 2.202 | 26 |
| 48.3 | 1.885 | 26 |


(6)
Diffraction record for CeGdHgIr. The powder X-ray diffraction pattern is simulated, not measured: it uses a DFT-relaxed cell (GGA-PBE, Alexandria) and λ = 1.5418 Å (Cu Kα).
Intensities are scaled so that the largest is 100.

Atomic structure:
Lattice parameters (Å, degrees): 7.254 7.254 7.254 90.00 90.00 90.00
Element x y z (fractional)
Ce (0.000, 0.000, 0.000)
Ce (0.000, 0.500, 0.500)
Ce (0.500, 0.000, 0.500)
Ce (0.500, 0.500, 0.000)
Gd (0.000, 0.000, 0.500)
Gd (0.000, 0.500, 0.000)
Gd (0.500, 0.000, 0.000)
Gd (0.500, 0.500, 0.500)
Hg (0.250, 0.250, 0.250)
Hg (0.250, 0.750, 0.750)
Hg (0.750, 0.250, 0.750)
Hg (0.750, 0.750, 0.250)
Ir (0.250, 0.250, 0.750)
Ir (0.250, 0.750, 0.250)
Ir (0.750, 0.250, 0.250)
Ir (0.750, 0.750, 0.750)

Top 6 peaks for 2θ = 10–90°, by angle:
| 2theta | d (Å) | I (rel.) |
| --- | --- | --- |
| 24.5 | 3.627 | 2 |
| 35.0 | 2.565 | 100 |
| 50.3 | 1.813 | 18 |
| 62.8 | 1.481 | 37 |
| 73.9 | 1.282 | 12 |
| 84.5 | 1.147 | 17 |